# 1
Li2Rh2C: theoretical X-ray diffraction stick pattern (Cu Ka), based on a crystal structure in Alexandria, relaxed with PBE.
Lines closer than 0.1° are merged.

Main lines, most intense first (15° ≤ 2θ ≤ 90°):
two_theta  intensity
21.37  100.0
38.73  82.5
31.91  57.0
51.03  36.2
45.76  30.4
54.98  24.2
65.00  20.6
79.89  19.6
43.54  17.6
70.93  13.1
76.70  10.9
83.09  10.2

```
Li2Rh2C
1.0
3.966 0.000 0.000
0.000 3.966 0.000
0.000 0.000 4.158
Li Rh C
2 2 1
Cartesian
0.000 0.000 0.000
1.983 1.983 0.000
0.000 1.983 2.079
1.983 0.000 2.079
0.000 0.000 2.079
```

***

# 2
TmTl6Pd12: theoretical X-ray diffraction stick pattern (Cu Ka), based on a crystal structure in Alexandria, relaxed with PBE.
Lines closer than 0.1° are merged.

Main lines, most intense first (15° ≤ 2θ ≤ 90°):
two_theta  intensity
37.19  100.0
39.05  63.5
38.62  44.5
40.73  41.2
25.35  38.2
37.48  35.0
58.52  19.3
41.41  17.9
73.49  17.5
42.20  14.6
64.65  14.4
66.19  12.3

```
TmTl6Pd12
1.0
5.769 3.331 3.197
-5.769 3.331 3.197
0.000 -6.662 3.197
Tm Tl Pd
1 6 12
Cartesian
0.000 0.000 0.000
-1.745 0.679 2.572
0.285 -1.851 2.572
1.460 1.172 2.572
-1.460 -1.172 7.019
-0.285 1.851 7.019
1.745 -0.679 7.019
-1.289 -4.094 3.226
-2.225 -1.569 4.369
-2.901 3.163 3.226
-4.190 -0.931 6.365
-2.471 1.142 5.222
0.246 -2.711 5.222
-0.246 2.711 4.369
2.471 -1.142 4.369
4.190 0.931 3.226
2.901 -3.163 6.365
2.225 1.569 5.222
1.288 4.094 6.365
```

***

# 3
TbPr2Pd2: theoretical X-ray diffraction stick pattern (Cu Ka), based on a crystal structure in Alexandria, relaxed with PBE.
Lines closer than 0.1° are merged.

Main lines, most intense first (15° ≤ 2θ ≤ 90°):
two_theta  intensity
33.29  100.0
35.49  52.0
31.30  37.7
58.04  25.0
44.34  18.0
67.05  13.2
63.54  12.0
31.64  11.7
52.20  11.5
53.54  9.6
74.55  9.4
26.92  9.4

```
TbPr2Pd2
1.0
7.998 0.000 0.000
0.000 7.998 0.000
0.000 0.000 4.086
Tb Pr Pd
2 4 4
Cartesian
0.000 0.000 0.000
3.999 3.999 0.000
1.350 2.649 2.043
2.649 6.648 2.043
5.348 1.350 2.043
6.648 5.348 2.043
1.032 5.031 0.000
2.967 1.032 0.000
5.031 6.966 0.000
6.966 2.967 0.000
```

***

# 4
Cs3TlCu2Br9: theoretical X-ray diffraction stick pattern (Cu Ka), based on a crystal structure in Alexandria, relaxed with PBE.
Lines closer than 0.1° are merged.

Main lines, most intense first (15° ≤ 2θ ≤ 90°):
two_theta  intensity
32.90  100.0
23.10  55.8
28.42  44.7
47.30  34.6
47.12  33.7
58.81  17.9
40.62  17.5
56.05  17.2
78.69  15.1
28.29  14.2
78.43  13.7
16.28  12.8

```
Cs3TlCu2Br9
1.0
7.688 0.000 0.000
-3.844 6.658 0.000
0.000 0.000 9.465
Cs Tl Cu Br
3 1 2 9
Cartesian
0.000 0.000 0.000
0.000 4.438 6.353
3.844 2.219 3.112
0.000 0.000 4.733
0.000 4.438 1.437
3.844 2.219 8.028
-1.922 3.329 0.000
0.000 2.344 3.023
-1.814 5.486 3.023
2.030 1.172 6.443
3.844 0.000 0.000
1.922 3.329 0.000
1.814 5.486 3.023
5.658 1.172 6.443
3.844 4.314 6.443
```

***

# 5
Ti4O7: theoretical X-ray diffraction stick pattern (Cu Ka), based on a crystal structure in Alexandria, relaxed with PBE.
Lines closer than 0.1° are merged.

Main lines, most intense first (15° ≤ 2θ ≤ 90°):
two_theta  intensity
26.17  100.0
31.39  87.6
20.54  67.0
29.37  63.2
33.94  58.1
35.51  50.8
54.53  48.5
36.12  40.4
54.72  39.1
31.83  38.9
55.33  38.2
53.08  37.9

```
Ti4O7
1.0
5.636 0.000 0.000
1.787 6.720 0.000
2.325 2.614 6.271
Ti O
8 14
Cartesian
1.824 1.335 1.657
2.996 2.638 4.775
4.087 5.737 3.713
2.929 4.470 0.526
6.820 4.865 5.745
5.662 3.598 2.558
6.753 6.697 1.496
7.925 7.999 4.614
1.660 2.518 3.254
2.945 4.586 4.788
4.215 7.312 5.006
3.005 6.540 0.421
2.803 2.487 0.553
3.970 4.495 2.170
5.086 6.989 2.324
4.662 2.346 3.947
5.779 4.839 4.101
6.946 6.848 5.718
6.744 2.794 5.850
5.534 2.022 1.265
6.804 4.748 1.483
8.089 6.817 3.017
```

***

# 6
RbTiCu2Hg: theoretical X-ray diffraction stick pattern (Cu Ka), based on a crystal structure in Alexandria, relaxed with PBE.
Lines closer than 0.1° are merged.

Main lines, most intense first (15° ≤ 2θ ≤ 90°):
two_theta  intensity
17.48  100.0
35.39  71.6
47.23  62.3
30.26  54.4
23.11  48.4
35.16  37.3
24.82  30.3
60.38  29.3
50.74  27.0
39.73  26.9
50.91  24.8
38.63  21.4

```
RbTiCu2Hg
1.0
5.073 0.000 0.000
0.000 5.073 0.000
0.000 0.000 5.907
Rb Ti Cu Hg
1 1 2 1
Cartesian
0.000 0.000 0.000
2.537 2.537 0.000
0.000 2.537 2.953
2.537 0.000 2.953
0.000 0.000 2.953
```